1.
The following is a simulated powder XRD pattern of IrSeO4. It was derived from a crystal structure in OQMD, relaxed with GGA-PBE, using Cu Kα X-rays.

Structure:
Cell lengths 7.4465, 7.4465, 7.4465 Å; angles 129.02, 60.54, 149.57 degrees
Positions (direct):
Ir (0.1549, 0.2500, 0.4049)
Ir (0.8451, 0.7500, 0.5951)
Se (0.1097, 0.4797, 0.1300)
Se (0.3497, 0.9797, 0.8700)
O (0.0828, 0.4877, 0.7112)
O (0.0828, 0.8716, 0.0951)
O (0.2206, 0.9832, 0.7374)
O (0.2458, 0.4832, 0.2626)
O (0.2923, 0.2324, 0.5599)
O (0.6724, 0.7323, 0.4401)
O (0.7765, 0.3716, 0.2888)
O (0.7765, 0.9877, 0.9049)

Peak list (6 most intense, 2θ from 5° to 70°, in order of rising 2θ)
d_spacing	Position (°2θ)	intensity
5.736	15.4	72
3.740	23.8	48
3.209	27.8	100
2.962	30.2	64
2.889	31.0	49
1.850	49.3	30

***

2.
The following is a simulated powder XRD pattern of Sm2TmIrO6. It was derived from a crystal structure in OQMD, relaxed with GGA-PBE, using Cu Kα X-rays.

Structure:
Cell lengths 5.5186, 5.9096, 9.4071 Å; angles 90.00, 122.93, 90.00 degrees
Positions (direct):
Sm (0.2213, 0.0709, 0.2487)
Sm (0.2213, 0.4291, 0.7487)
Sm (0.7787, 0.5709, 0.2513)
Sm (0.7787, 0.9291, 0.7513)
Tm (0.5000, 0.0000, 0.0000)
Tm (0.5000, 0.5000, 0.5000)
Ir (0.0000, 0.0000, 0.5000)
Ir (0.0000, 0.5000, 0.0000)
O (0.1196, 0.1968, 0.9400)
O (0.1196, 0.3032, 0.4400)
O (0.2462, 0.6951, 0.9399)
O (0.2462, 0.8049, 0.4399)
O (0.3727, 0.0551, 0.7383)
O (0.3727, 0.4449, 0.2383)
O (0.6273, 0.5551, 0.7617)
O (0.6273, 0.9449, 0.2617)
O (0.7538, 0.1951, 0.5601)
O (0.7538, 0.3049, 0.0601)
O (0.8804, 0.6968, 0.5600)
O (0.8804, 0.8032, 0.0600)

Peak list (6 most intense, 2θ from 5° to 70°, in order of rising 2θ)
d_spacing	Position (°2θ)	intensity
2.955	30.2	40
2.875	31.1	97
2.769	32.3	100
2.756	32.5	43
2.015	45.0	32
1.973	46.0	28

***

3.
The following is a simulated powder XRD pattern of SrIr2O6. It was derived from a crystal structure in OQMD, relaxed with GGA-PBE, using Cu Kα X-rays.

Structure:
Cell lengths 5.3187, 5.3187, 5.1010 Å; angles 90.00, 90.00, 120.00 degrees
Positions (direct):
Sr (0.0000, 0.0000, 0.0000)
Ir (0.3333, 0.6667, 0.5000)
Ir (0.6667, 0.3333, 0.5000)
O (0.0000, 0.3784, 0.7068)
O (0.0000, 0.6216, 0.2932)
O (0.3784, 0.0000, 0.7068)
O (0.3784, 0.3784, 0.2932)
O (0.6216, 0.0000, 0.2932)
O (0.6216, 0.6216, 0.7068)

Peak list (6 most intense, 2θ from 5° to 70°, in order of rising 2θ)
d_spacing	Position (°2θ)	intensity
5.101	17.4	55
3.419	26.1	100
2.659	33.7	57
2.358	38.2	38
1.841	49.5	56
1.648	55.8	24

***

4.
The following is a simulated powder XRD pattern of Sr4Ta3IrO12. It was derived from a crystal structure in OQMD, relaxed with GGA-PBE, using Cu Kα X-rays.

Structure:
Cell lengths 5.6781, 5.6950, 7.9827 Å; angles 90.51, 90.01, 90.07 degrees
Positions (direct):
Sr (0.0034, 0.0276, 0.2571)
Sr (0.4933, 0.5188, 0.2560)
Sr (0.5067, 0.4812, 0.7440)
Sr (0.9966, 0.9724, 0.7429)
Ta (0.0000, 0.5000, 0.0000)
Ta (0.5000, 0.0000, 0.0000)
Ta (0.5000, 0.0000, 0.5000)
Ir (0.0000, 0.5000, 0.5000)
O (0.0678, 0.5083, 0.7580)
O (0.2250, 0.7887, 0.4636)
O (0.2332, 0.7688, 0.0329)
O (0.2678, 0.2660, 0.0307)
O (0.2914, 0.2760, 0.4695)
O (0.4426, 0.0024, 0.7516)
O (0.5574, 0.9976, 0.2484)
O (0.7086, 0.7240, 0.5305)
O (0.7322, 0.7340, 0.9693)
O (0.7668, 0.2312, 0.9671)
O (0.7750, 0.2113, 0.5364)
O (0.9322, 0.4917, 0.2420)

Peak list (6 most intense, 2θ from 5° to 70°, in order of rising 2θ)
d_spacing	Position (°2θ)	intensity
4.021	22.1	23
2.842	31.5	100
2.824	31.7	49
2.010	45.1	27
1.640	56.1	17
1.636	56.2	20

***

5.
The following is a simulated powder XRD pattern of Tm2Ir2O5. It was derived from a crystal structure in OQMD, relaxed with GGA-PBE, using Cu Kα X-rays.

Structure:
Cell lengths 3.8933, 3.8933, 6.9712 Å; angles 90.00, 90.00, 90.00 degrees
Positions (direct):
Tm (0.0000, 0.0000, 0.0000)
Tm (0.0000, 0.0000, 0.5000)
Ir (0.5000, 0.5000, 0.1909)
Ir (0.5000, 0.5000, 0.8091)
O (0.0000, 0.5000, 0.2520)
O (0.0000, 0.5000, 0.7480)
O (0.5000, 0.0000, 0.2520)
O (0.5000, 0.0000, 0.7480)
O (0.5000, 0.5000, 0.5000)

Peak list (6 most intense, 2θ from 5° to 70°, in order of rising 2θ)
d_spacing	Position (°2θ)	intensity
2.753	32.5	72
2.597	34.5	100
1.995	45.5	17
1.947	46.7	38
1.558	59.3	43
1.376	68.1	12

***

6.
The following is a simulated powder XRD pattern of ReIr6Os. It was derived from a crystal structure in OQMD, relaxed with GGA-PBE, using Cu Kα X-rays.

Structure:
Cell lengths 5.5187, 5.5187, 4.4039 Å; angles 90.00, 90.00, 120.00 degrees
Positions (direct):
Re (0.0000, 0.0000, 0.0000)
Ir (0.1660, 0.3320, 0.5000)
Ir (0.1660, 0.8340, 0.5000)
Ir (0.5009, 0.0017, 0.0000)
Ir (0.5009, 0.4991, 0.0000)
Ir (0.6680, 0.8340, 0.5000)
Ir (0.9983, 0.4991, 0.0000)
Os (0.6667, 0.3333, 0.5000)

Peak list (5 most intense, 2θ from 5° to 70°, in order of rising 2θ)
d_spacing	Position (°2θ)	intensity
2.390	37.6	24
2.202	41.0	26
2.100	43.1	100
1.619	56.9	15
1.380	67.9	18

***

Q: What is the formula in the first record?
A: IrSeO4

***

Repeat the second record exactly.
The following is a simulated powder XRD pattern of Sm2TmIrO6. It was derived from a crystal structure in OQMD, relaxed with GGA-PBE, using Cu Kα X-rays.

Structure:
Cell lengths 5.5186, 5.9096, 9.4071 Å; angles 90.00, 122.93, 90.00 degrees
Positions (direct):
Sm (0.2213, 0.0709, 0.2487)
Sm (0.2213, 0.4291, 0.7487)
Sm (0.7787, 0.5709, 0.2513)
Sm (0.7787, 0.9291, 0.7513)
Tm (0.5000, 0.0000, 0.0000)
Tm (0.5000, 0.5000, 0.5000)
Ir (0.0000, 0.0000, 0.5000)
Ir (0.0000, 0.5000, 0.0000)
O (0.1196, 0.1968, 0.9400)
O (0.1196, 0.3032, 0.4400)
O (0.2462, 0.6951, 0.9399)
O (0.2462, 0.8049, 0.4399)
O (0.3727, 0.0551, 0.7383)
O (0.3727, 0.4449, 0.2383)
O (0.6273, 0.5551, 0.7617)
O (0.6273, 0.9449, 0.2617)
O (0.7538, 0.1951, 0.5601)
O (0.7538, 0.3049, 0.0601)
O (0.8804, 0.6968, 0.5600)
O (0.8804, 0.8032, 0.0600)

Peak list (6 most intense, 2θ from 5° to 70°, in order of rising 2θ)
d_spacing	Position (°2θ)	intensity
2.955	30.2	40
2.875	31.1	97
2.769	32.3	100
2.756	32.5	43
2.015	45.0	32
1.973	46.0	28